Calculated X-ray powder pattern
Compound: Pu2Ga4Pd5
Radiation: Cu Kα (weighted mean of Kα1 and Kα2)
Structure: a cell relaxed with PBE

Cell and atoms:
```
data_Pu2Ga4Pd5
_cell_length_a 9.147
_cell_length_b 8.312
_cell_length_c 5.535
_cell_angle_alpha 79.95
_cell_angle_beta 63.48
_cell_angle_gamma 36.57
_space_group_name_H-M_alt 'P 1'
_space_group_IT_number 1
_space_group_name_Hall 'P 1'
loop_
_atom_site_label
_atom_site_type_symbol
_atom_site_fract_x
_atom_site_fract_y
_atom_site_fract_z
Pu1 Pu 0.124 0.124 0.876
Pu2 Pu 0.876 0.876 0.124
Ga1 Ga 0.215 0.524 0.476
Ga2 Ga 0.476 0.785 0.215
Ga3 Ga 0.524 0.215 0.785
Ga4 Ga 0.785 0.476 0.524
Pd1 Pd 0.000 0.000 0.500
Pd2 Pd 0.250 0.250 0.250
Pd3 Pd 0.500 0.500 0.000
Pd4 Pd 0.500 0.500 0.500
Pd5 Pd 0.750 0.750 0.750
```

Largest 6 diffraction maxima, in order of rising 2θ, 2θ from 10° to 80°:
Position (°2θ)	intensity
25.04	51
29.59	85
32.88	48
36.78	88
36.93	82
39.28	100

---

Calculated X-ray powder pattern
Compound: TiNbSi2
Radiation: Cu Kα (weighted mean of Kα1 and Kα2)
Structure: a cell relaxed with PBE

Cell and atoms:
```
data_TiNbSi2
_cell_length_a 3.697
_cell_length_b 5.037
_cell_length_c 6.540
_cell_angle_alpha 90.00
_cell_angle_beta 90.00
_cell_angle_gamma 90.00
_space_group_name_H-M_alt 'P 1'
_space_group_IT_number 1
_space_group_name_Hall 'P 1'
loop_
_atom_site_label
_atom_site_type_symbol
_atom_site_fract_x
_atom_site_fract_y
_atom_site_fract_z
Ti1 Ti 0.000 0.122 0.000
Ti2 Ti 0.000 0.878 0.500
Nb1 Nb 0.500 0.376 0.649
Nb2 Nb 0.500 0.624 0.149
Si1 Si 0.000 0.388 0.368
Si2 Si 0.000 0.612 0.868
Si3 Si 0.500 0.105 0.279
Si4 Si 0.500 0.895 0.779
```

Largest 6 diffraction maxima, in order of rising 2θ, 2θ from 10° to 80°:
Position (°2θ)	intensity
33.03	81
36.69	100
38.30	84
40.97	69
45.75	75
49.30	38

---

Calculated X-ray powder pattern
Compound: Na3GaF6
Radiation: Cu Kα (weighted mean of Kα1 and Kα2)
Structure: a cell relaxed with PBE

Cell and atoms:
```
data_Na3GaF6
_cell_length_a 6.530
_cell_length_b 6.530
_cell_length_c 6.530
_cell_angle_alpha 90.71
_cell_angle_beta 90.71
_cell_angle_gamma 90.71
_space_group_name_H-M_alt 'P 1'
_space_group_IT_number 1
_space_group_name_Hall 'P 1'
loop_
_atom_site_label
_atom_site_type_symbol
_atom_site_fract_x
_atom_site_fract_y
_atom_site_fract_z
Na1 Na 0.074 0.750 0.426
Na2 Na 0.250 0.574 0.926
Na3 Na 0.426 0.074 0.750
Na4 Na 0.574 0.926 0.250
Na5 Na 0.750 0.426 0.074
Na6 Na 0.926 0.250 0.574
Ga1 Ga 0.000 0.000 0.000
Ga2 Ga 0.500 0.500 0.500
F1 F 0.050 0.285 0.946
F2 F 0.054 0.950 0.715
F3 F 0.215 0.450 0.554
F4 F 0.285 0.946 0.050
F5 F 0.446 0.785 0.550
F6 F 0.450 0.554 0.215
F7 F 0.550 0.446 0.785
F8 F 0.554 0.215 0.450
F9 F 0.715 0.054 0.950
F10 F 0.785 0.550 0.446
F11 F 0.946 0.050 0.285
F12 F 0.950 0.715 0.054
```

Largest 6 diffraction maxima, in order of rising 2θ, 2θ from 10° to 80°:
Position (°2θ)	intensity
19.10	29
19.35	100
27.32	52
33.41	28
44.03	36
46.06	41